1.
Structure and theoretical powder XRD pattern of Ba2SmOsN4 (a cell relaxed with PBE; Cu Kα).
Lines closer than 0.1° are merged.

Structure:
Unit cell a=12.2705 b=11.0828 c=6.8038 alpha=82.93 beta=63.68 gamma=33.39
Element x y z (fractional)
Ba1 0.0626 0.0626 0.6874
Ba2 0.3126 0.3126 0.9374
Ba3 0.6874 0.6874 0.0626
Ba4 0.9374 0.9374 0.3126
Sm1 0.1250 0.1250 0.1250
Sm2 0.8750 0.8750 0.8750
Os1 0.3750 0.3750 0.3750
Os2 0.6250 0.6250 0.6250
N1 0.0455 0.6235 0.5165
N2 0.3145 0.5165 0.6235
N3 0.3765 0.9545 0.6855
N4 0.4835 0.6855 0.9545
N5 0.5165 0.3145 0.0455
N6 0.6235 0.0455 0.3145
N7 0.6855 0.4835 0.3765
N8 0.9545 0.3765 0.4835

Main lines, in order of falling intensity (2θ = 5–70°):
d [Å]  intensity
3.067  100
5.328  96
3.045  91
2.724  91
4.323  63
1.841  46



2.
Structure and theoretical powder XRD pattern of Ba2PN3 (a cell relaxed with PBE; Cu Kα).
Lines closer than 0.1° are merged.

Structure:
Unit cell a=6.4720 b=6.4720 c=12.7508 alpha=90.00 beta=90.00 gamma=128.99
Element x y z (fractional)
Ba1 0.0521 0.9479 0.8569
Ba2 0.1430 0.8570 0.4242
Ba3 0.3570 0.6430 0.9242
Ba4 0.4479 0.5521 0.3569
Ba5 0.5521 0.4479 0.6431
Ba6 0.6430 0.3570 0.0758
Ba7 0.8570 0.1430 0.5758
Ba8 0.9479 0.0521 0.1431
P1 0.2389 0.7611 0.6736
P2 0.2611 0.7389 0.1736
P3 0.7389 0.2611 0.8264
P4 0.7611 0.2389 0.3264
N1 0.0250 0.4750 0.7500
N2 0.1005 0.8995 0.6482
N3 0.1757 0.8243 0.0721
N4 0.3243 0.6757 0.5721
N5 0.3995 0.6005 0.1482
N6 0.4750 0.0250 0.2500
N7 0.5250 0.9750 0.7500
N8 0.6005 0.3995 0.8518
N9 0.6757 0.3243 0.4279
N10 0.8243 0.1757 0.9279
N11 0.8995 0.1005 0.3518
N12 0.9750 0.5250 0.2500

Main lines, in order of falling intensity (2θ = 5–70°):
d [Å]  intensity
2.852  100
3.097  69
2.787  59
3.247  45
3.949  38
2.337  31



3.
Structure and theoretical powder XRD pattern of BaPa2PN5 (a cell relaxed with PBE; Cu Kα).
Lines closer than 0.1° are merged.

Structure:
Unit cell a=7.2671 b=7.2671 c=7.2671 alpha=124.76 beta=124.76 gamma=81.94
Element x y z (fractional)
Ba1 0.2500 0.2500 0.0000
Ba2 0.7500 0.7500 0.0000
Pa1 0.1883 0.6883 0.8766
Pa2 0.3117 0.1883 0.5000
Pa3 0.6883 0.8117 0.5000
Pa4 0.8117 0.3117 0.1234
P1 0.2500 0.7500 0.5000
P2 0.7500 0.2500 0.5000
N1 0.0000 0.0000 0.0000
N2 0.0157 0.7776 0.5000
N3 0.2224 0.7224 0.2382
N4 0.2776 0.5157 0.5000
N5 0.4843 0.9843 0.7618
N6 0.5000 0.5000 0.0000
N7 0.5157 0.0157 0.2382
N8 0.7224 0.4843 0.5000
N9 0.7776 0.2776 0.7618
N10 0.9843 0.2224 0.5000

Main lines, in order of falling intensity (2θ = 5–70°):
d [Å]  intensity
2.871  100
2.906  67
2.326  55
5.487  42
2.744  34
1.616  29



4.
Structure and theoretical powder XRD pattern of Ba3PrP2N6 (a cell relaxed with PBE; Cu Kα).
Lines closer than 0.1° are merged.

Structure:
Unit cell a=6.0762 b=6.0762 c=7.4246 alpha=90.00 beta=90.00 gamma=120.00
Element x y z (fractional)
Ba1 0.0000 0.0000 0.0000
Ba2 0.3333 0.6667 0.7012
Ba3 0.6667 0.3333 0.2988
Pr1 0.0000 0.0000 0.5000
P1 0.3333 0.6667 0.2617
P2 0.6667 0.3333 0.7383
N1 0.1824 0.3649 0.2882
N2 0.1824 0.8176 0.2882
N3 0.3649 0.1824 0.7118
N4 0.6351 0.8176 0.2882
N5 0.8176 0.1824 0.7118
N6 0.8176 0.6351 0.7118

Main lines, in order of falling intensity (2θ = 5–70°):
d [Å]  intensity
3.036  100
1.753  29
2.147  24
1.358  13
4.293  12
2.479  11



5.
Structure and theoretical powder XRD pattern of BaPuP2N6 (a cell relaxed with PBE; Cu Kα).
Lines closer than 0.1° are merged.

Structure:
Unit cell a=7.4037 b=7.4037 c=5.4938 alpha=100.21 beta=100.21 gamma=92.55
Element x y z (fractional)
Ba1 0.0978 0.9022 0.7500
Ba2 0.9022 0.0978 0.2500
Pu1 0.3089 0.6911 0.2500
Pu2 0.6911 0.3089 0.7500
P1 0.2046 0.3613 0.8513
P2 0.3613 0.2046 0.3513
P3 0.6387 0.7954 0.6487
P4 0.7954 0.6387 0.1487
N1 0.0014 0.7222 0.2647
N2 0.2260 0.5906 0.8962
N3 0.2778 0.9986 0.2353
N4 0.2811 0.3493 0.1614
N5 0.3493 0.2811 0.6614
N6 0.4094 0.7740 0.6038
N7 0.5906 0.2260 0.3962
N8 0.6507 0.7189 0.3386
N9 0.7189 0.6507 0.8386
N10 0.7222 0.0014 0.7647
N11 0.7740 0.4094 0.1038
N12 0.9986 0.2778 0.7353

Main lines, in order of falling intensity (2θ = 5–70°):
d [Å]  intensity
3.301  100
4.947  90
4.732  57
3.769  48
2.655  41
2.765  40



6.
Structure and theoretical powder XRD pattern of Ba2PuP2N6 (a cell relaxed with PBE; Cu Kα).
Lines closer than 0.1° are merged.

Structure:
Unit cell a=6.5496 b=6.5496 c=6.5496 alpha=53.30 beta=53.30 gamma=53.30
Element x y z (fractional)
Ba1 0.2302 0.2302 0.2302
Ba2 0.7698 0.7698 0.7698
Pu1 0.0000 0.0000 0.0000
P1 0.4331 0.4331 0.4331
P2 0.5669 0.5669 0.5669
N1 0.2528 0.2528 0.7210
N2 0.2528 0.7210 0.2528
N3 0.2790 0.7472 0.7472
N4 0.7210 0.2528 0.2528
N5 0.7472 0.2790 0.7472
N6 0.7472 0.7472 0.2790

Main lines, in order of falling intensity (2θ = 5–70°):
d [Å]  intensity
2.938  100
3.240  83
2.805  59
4.870  47
2.176  44
1.749  31



7.
Structure and theoretical powder XRD pattern of BaSr2P2N6 (a cell relaxed with PBE; Cu Kα).
Lines closer than 0.1° are merged.

Structure:
Unit cell a=5.6663 b=6.2232 c=6.8433 alpha=112.01 beta=94.81 gamma=114.19
Element x y z (fractional)
Ba1 0.0000 0.0000 0.0000
Sr1 0.2529 0.4163 0.6606
Sr2 0.7471 0.5837 0.3394
P1 0.3209 0.7610 0.2687
P2 0.6791 0.2390 0.7313
N1 0.2163 0.9678 0.3614
N2 0.2210 0.5180 0.3236
N3 0.4821 0.7636 0.0909
N4 0.5179 0.2364 0.9091
N5 0.7790 0.4820 0.6764
N6 0.7837 0.0322 0.6386

Main lines, in order of falling intensity (2θ = 5–70°):
d [Å]  intensity
3.244  100
3.215  81
3.049  65
3.362  64
2.823  56
2.792  48